Computed PXRD pattern
Compound: LiMg7Pb4
Radiation: Cu Kα (weighted mean of Kα1 and Kα2)
Structure: a DFT-relaxed cell (GGA-PBE, Alexandria)
Lines closer than 0.1° are merged.

Structural model:
abc: 5.1241 5.1241 13.0926
angles: 90.00 90.00 120.00
Space group P-3m1 (No. 164)
Symmetry-distinct sites (fractional):
Li  0.0000  0.0000  0.0000 x1
Mg  0.0000  0.0000  0.2459 x2
Mg  0.0000  0.0000  0.5000 x1
Mg  0.3333  0.6667  0.6541 x2
Mg  0.3333  0.6667  0.8998 x2
Pb  0.3333  0.6667  0.1380 x2
Pb  0.3333  0.6667  0.4026 x2

Largest 10 diffraction maxima, low angle first, 2θ from 10° to 90°:
2theta  d [Å]  Rel. int.  (hkl)
20.0  4.438  48  1 0 0
21.1  4.203  100  0 1 1
27.2  3.273  27  0 0 4
28.7  3.112  66  0 1 3
34.0  2.634  71  1 0 4
35.0  2.562  88  1 1 0
44.9  2.017  43  1 1 4
45.9  1.978  19  2 0 3
49.6  1.837  25  0 2 4
62.2  1.493  25  2 1 4

***

Computed PXRD pattern
Compound: Ba2Cu2Te2P2O13
Radiation: Cu Kα (weighted mean of Kα1 and Kα2)
Structure: a DFT-relaxed cell (GGA-PBE, Alexandria)
Lines closer than 0.1° are merged.

Structural model:
abc: 17.804 7.605 9.293
angles: 90.00 99.52 90.00
Space group C2/c (No. 15)
Symmetry-distinct sites (fractional):
Ba  0.144  0.131  0.105 x8
Cu  0.000  0.195  0.750 x4
Cu  0.250  0.250  0.500 x4
Te  0.059  0.347  0.431 x8
P  0.163  0.330  0.765 x8
O  0.000  0.226  0.250 x4
O  0.003  0.214  0.961 x8
O  0.111  0.165  0.781 x8
O  0.115  0.465  0.662 x8
O  0.141  0.186  0.431 x8
O  0.193  0.406  0.916 x8
O  0.233  0.262  0.699 x8

Largest 10 diffraction maxima, low angle first, 2θ from 10° to 90°:
2theta  d [Å]  Rel. int.  (hkl)
23.4  3.803  33  0 2 0
23.9  3.720  27  1 1 2
26.7  3.335  100  2 2 -1
28.2  3.162  23  5 1 -1
31.1  2.879  72  5 1 1
31.2  2.869  73  1 1 -3
31.6  2.831  34  4 2 -1
33.5  2.675  29  6 0 -2
37.8  2.382  20  7 1 0
41.4  2.180  20  1 3 2